This entry pairs a crystal structure of LiMg2TcH8 with its computed powder diffractogram. Radiation: copper Kα. Structure: a GGA-PBE-relaxed structure.
Intensities are scaled so that the largest is 100.

Cell and atoms:
```
data_LiMg2TcH8
_chemical_formula_sum 'Li1 Mg2 Tc1 H8'
_cell_length_a 5.469
_cell_length_b 5.469
_cell_length_c 5.469
_cell_angle_alpha 131.70
_cell_angle_beta 131.70
_cell_angle_gamma 70.70
_space_group_name_H-M_alt 'P 1'
_space_group_IT_number 1
_space_group_name_Hall 'P 1'
loop_
_atom_site_label
_atom_site_type_symbol
_atom_site_fract_x
_atom_site_fract_y
_atom_site_fract_z
Li1 Li 0.000 0.000 0.000
Mg1 Mg 0.250 0.750 0.500
Mg2 Mg 0.500 0.500 0.000
Tc1 Tc 0.750 0.250 0.500
H1 H 0.095 0.131 0.490
H2 H 0.095 0.605 0.964
H3 H 0.395 0.359 0.490
H4 H 0.395 0.905 0.036
H5 H 0.641 0.131 0.036
H6 H 0.641 0.605 0.510
H7 H 0.869 0.359 0.964
H8 H 0.869 0.905 0.510
```

Most intense lines, 2θ = 10–90°, by angle:
d = 4.461 Å, rel. 40
d = 4.000 Å, rel. 80
d = 3.164 Å, rel. 32
d = 2.581 Å, rel. 100
d = 2.477 Å, rel. 21
d = 2.237 Å, rel. 29
d = 1.580 Å, rel. 23
d = 1.349 Å, rel. 25

=====

This entry pairs a crystal structure of TaNb3 with its computed powder diffractogram. Radiation: copper Kα. Structure: a GGA-PBE-relaxed structure.
Intensities are scaled so that the largest is 100.

Cell and atoms:
```
data_TaNb3
_chemical_formula_sum 'Ta4 Nb12'
_cell_length_a 6.626
_cell_length_b 6.626
_cell_length_c 6.626
_cell_angle_alpha 90.00
_cell_angle_beta 90.00
_cell_angle_gamma 90.00
_space_group_name_H-M_alt 'P 1'
_space_group_IT_number 1
_space_group_name_Hall 'P 1'
loop_
_atom_site_label
_atom_site_type_symbol
_atom_site_fract_x
_atom_site_fract_y
_atom_site_fract_z
Ta1 Ta 0.000 0.000 0.000
Ta2 Ta 0.000 0.500 0.500
Ta3 Ta 0.500 0.000 0.500
Ta4 Ta 0.500 0.500 0.000
Nb1 Nb 0.000 0.000 0.500
Nb2 Nb 0.000 0.500 0.000
Nb3 Nb 0.250 0.250 0.250
Nb4 Nb 0.250 0.250 0.750
Nb5 Nb 0.250 0.750 0.250
Nb6 Nb 0.250 0.750 0.750
Nb7 Nb 0.500 0.000 0.000
Nb8 Nb 0.500 0.500 0.500
Nb9 Nb 0.750 0.250 0.250
Nb10 Nb 0.750 0.250 0.750
Nb11 Nb 0.750 0.750 0.250
Nb12 Nb 0.750 0.750 0.750
```

Most intense lines, 2θ = 10–90°, by angle:
d = 3.826 Å, rel. 7
d = 3.313 Å, rel. 4
d = 2.343 Å, rel. 100
d = 1.998 Å, rel. 4
d = 1.657 Å, rel. 17
d = 1.520 Å, rel. 2
d = 1.353 Å, rel. 34
d = 1.171 Å, rel. 11

=====

This entry pairs a crystal structure of NaCd4Pb4 with its computed powder diffractogram. Radiation: copper Kα. Structure: a GGA-PBE-relaxed structure.
Intensities are scaled so that the largest is 100.

Cell and atoms:
```
data_NaCd4Pb4
_chemical_formula_sum 'Na2 Cd8 Pb8'
_cell_length_a 8.969
_cell_length_b 8.969
_cell_length_c 6.250
_cell_angle_alpha 90.00
_cell_angle_beta 90.00
_cell_angle_gamma 90.00
_space_group_name_H-M_alt 'P 1'
_space_group_IT_number 1
_space_group_name_Hall 'P 1'
loop_
_atom_site_label
_atom_site_type_symbol
_atom_site_fract_x
_atom_site_fract_y
_atom_site_fract_z
Na1 Na 0.250 0.250 0.250
Na2 Na 0.750 0.750 0.750
Cd1 Cd 0.054 0.138 0.635
Cd2 Cd 0.138 0.446 0.865
Cd3 Cd 0.362 0.054 0.865
Cd4 Cd 0.446 0.362 0.635
Cd5 Cd 0.554 0.638 0.365
Cd6 Cd 0.638 0.946 0.135
Cd7 Cd 0.862 0.554 0.135
Cd8 Cd 0.946 0.862 0.365
Pb1 Pb 0.086 0.828 0.890
Pb2 Pb 0.172 0.586 0.390
Pb3 Pb 0.328 0.914 0.390
Pb4 Pb 0.414 0.672 0.890
Pb5 Pb 0.586 0.328 0.110
Pb6 Pb 0.672 0.086 0.610
Pb7 Pb 0.828 0.414 0.610
Pb8 Pb 0.914 0.172 0.110
```

Most intense lines, 2θ = 10–90°, by angle:
d = 6.342 Å, rel. 20
d = 3.376 Å, rel. 18
d = 2.951 Å, rel. 59
d = 2.832 Å, rel. 100
d = 2.697 Å, rel. 32
d = 2.583 Å, rel. 33
d = 2.465 Å, rel. 37
d = 2.311 Å, rel. 26

=====

This entry pairs a crystal structure of YIn8 with its computed powder diffractogram. Radiation: copper Kα. Structure: a GGA-PBE-relaxed structure.
Intensities are scaled so that the largest is 100.

Cell and atoms:
```
data_YIn8
_chemical_formula_sum 'Y1 In8'
_cell_length_a 7.560
_cell_length_b 7.560
_cell_length_c 7.560
_cell_angle_alpha 95.26
_cell_angle_beta 95.26
_cell_angle_gamma 144.75
_space_group_name_H-M_alt 'P 1'
_space_group_IT_number 1
_space_group_name_Hall 'P 1'
loop_
_atom_site_label
_atom_site_type_symbol
_atom_site_fract_x
_atom_site_fract_y
_atom_site_fract_z
Y1 Y 0.000 0.000 0.000
In1 In 0.000 0.335 0.335
In2 In 0.000 0.665 0.665
In3 In 0.330 0.330 0.661
In4 In 0.330 0.670 0.000
In5 In 0.335 0.000 0.335
In6 In 0.665 0.000 0.665
In7 In 0.670 0.330 0.000
In8 In 0.670 0.670 0.339
```

Most intense lines, 2θ = 10–90°, by angle:
d = 2.728 Å, rel. 100
d = 2.402 Å, rel. 35
d = 2.289 Å, rel. 15
d = 1.698 Å, rel. 12
d = 1.657 Å, rel. 22
d = 1.442 Å, rel. 27
d = 1.392 Å, rel. 12
d = 1.364 Å, rel. 11